(1)
Simulated powder diffraction line list of Sr6Er for Cu Kα (λ = 1.5418 Å), from a DFT-relaxed cell (GGA-PBE, Alexandria).

Peak list (10 most intense, 2θ from 5° to 70°, in order of rising 2θ)
| 2θ (°) | I/Imax |
| --- | --- |
| 17.5 | 40.4 |
| 21.5 | 100.0 |
| 33.1 | 67.4 |
| 35.5 | 28.9 |
| 39.8 | 20.3 |
| 41.9 | 17.6 |
| 49.3 | 21.8 |
| 51.0 | 20.2 |
| 56.0 | 22.4 |
| 68.1 | 16.6 |

Structure:
Lattice parameters (Å, degrees): 10.1239 10.1239 10.1239 90.00 90.00 90.00
Space group Im-3m (No. 229)
Unique sites:
Sr  0.0000  0.2500  0.5000
Er  0.0000  0.0000  0.0000

(2)
Simulated powder diffraction line list of Sr4ErTe5 for Cu Kα (λ = 1.5418 Å), from a DFT-relaxed cell (GGA-PBE, Alexandria).

Peak list (10 most intense, 2θ from 5° to 70°, in order of rising 2θ)
| 2θ (°) | I/Imax |
| --- | --- |
| 12.1 | 3.9 |
| 16.0 | 3.7 |
| 23.5 | 1.7 |
| 27.2 | 100.0 |
| 34.0 | 1.5 |
| 38.3 | 1.5 |
| 38.8 | 76.3 |
| 48.0 | 27.4 |
| 56.0 | 12.7 |
| 63.3 | 34.4 |

Structure:
Lattice parameters (Å, degrees): 10.3791 10.3791 6.5722 90.00 90.00 90.00
Space group I4/m (No. 87)
Unique sites:
Sr  0.0948  0.6988  0.0000
Er  0.0000  0.0000  0.5000
Te  0.0000  0.0000  0.0000
Te  0.0959  0.7154  0.5000

(3)
Simulated powder diffraction line list of ErTaW for Cu Kα (λ = 1.5418 Å), from a DFT-relaxed cell (GGA-PBE, Alexandria).

Peak list (10 most intense, 2θ from 5° to 70°, in order of rising 2θ)
| 2θ (°) | I/Imax |
| --- | --- |
| 32.0 | 84.1 |
| 35.0 | 20.2 |
| 35.3 | 32.4 |
| 35.8 | 60.8 |
| 37.1 | 30.0 |
| 40.9 | 44.4 |
| 41.2 | 100.0 |
| 45.6 | 25.5 |
| 62.3 | 19.4 |
| 63.0 | 27.0 |

Structure:
Lattice parameters (Å, degrees): 5.8516 8.6366 10.2540 90.00 90.00 90.00
Space group Fmmm (No. 69)
Unique sites:
Er  0.0000  0.1788  0.0000
Ta  0.0000  0.0000  0.3290
W  0.2500  0.2500  0.2500

(4)
Simulated powder diffraction line list of Er2TaZn for Cu Kα (λ = 1.5418 Å), from a DFT-relaxed cell (GGA-PBE, Alexandria).

Peak list (10 most intense, 2θ from 5° to 70°, in order of rising 2θ)
| 2θ (°) | I/Imax |
| --- | --- |
| 24.4 | 34.4 |
| 32.7 | 60.5 |
| 33.1 | 100.0 |
| 33.4 | 97.1 |
| 35.7 | 25.4 |
| 39.8 | 20.8 |
| 43.2 | 95.9 |
| 45.1 | 55.3 |
| 58.8 | 44.3 |
| 69.0 | 42.1 |

Structure:
Lattice parameters (Å, degrees): 3.1397 3.1397 32.8149 90.00 90.00 120.00
Space group R-3m (No. 166, hexagonal axes)
Unique sites:
Er  0.0000  0.0000  0.0922
Ta  0.0000  0.0000  0.0000
Zn  0.0000  0.0000  0.5000

(5)
Simulated powder diffraction line list of Tb2Er7 for Cu Kα (λ = 1.5418 Å), from a DFT-relaxed cell (GGA-PBE, Alexandria).

Peak list (10 most intense, 2θ from 5° to 70°, in order of rising 2θ)
| 2θ (°) | I/Imax |
| --- | --- |
| 31.5 | 81.0 |
| 32.5 | 100.0 |
| 33.4 | 25.7 |
| 38.5 | 18.5 |
| 45.9 | 24.0 |
| 51.8 | 10.2 |
| 55.0 | 19.5 |
| 57.4 | 21.0 |
| 58.0 | 15.1 |
| 62.5 | 34.2 |

Structure:
Lattice parameters (Å, degrees): 9.5480 9.5480 3.5291 90.00 90.00 120.00
Space group P-62m (No. 189)
Unique sites:
Tb  0.3333  0.6667  0.0000
Er  0.0000  0.0000  0.5000
Er  0.0000  0.3046  0.0000
Er  0.0000  0.6404  0.5000

(6)
Simulated powder diffraction line list of Tb7Er6 for Cu Kα (λ = 1.5418 Å), from a DFT-relaxed cell (GGA-PBE, Alexandria).

Peak list (10 most intense, 2θ from 5° to 70°, in order of rising 2θ)
| 2θ (°) | I/Imax |
| --- | --- |
| 27.5 | 51.1 |
| 30.3 | 47.3 |
| 31.6 | 100.0 |
| 32.0 | 49.1 |
| 32.6 | 68.8 |
| 34.5 | 58.4 |
| 51.3 | 26.1 |
| 51.9 | 37.8 |
| 55.7 | 31.3 |
| 56.8 | 42.8 |

Structure:
Lattice parameters (Å, degrees): 6.4835 6.4835 34.6887 90.00 90.00 120.00
Space group R-3m (No. 166, hexagonal axes)
Unique sites:
Tb  0.0000  0.0000  0.0000
Tb  0.0062  0.5031  0.4111
Er  0.0000  0.0000  0.1668
Er  0.0000  0.0000  0.3526
Er  0.0000  0.0000  0.4540

(7)
Simulated powder diffraction line list of Tb13Er2 for Cu Kα (λ = 1.5418 Å), from a DFT-relaxed cell (GGA-PBE, Alexandria).

Peak list (10 most intense, 2θ from 5° to 70°, in order of rising 2θ)
| 2θ (°) | I/Imax |
| --- | --- |
| 31.7 | 91.2 |
| 31.9 | 100.0 |
| 41.4 | 11.0 |
| 45.6 | 27.6 |
| 56.7 | 8.7 |
| 56.8 | 25.8 |
| 56.9 | 19.2 |
| 62.9 | 14.4 |
| 63.0 | 14.3 |
| 66.8 | 11.6 |

Structure:
Lattice parameters (Å, degrees): 6.5999 8.9169 8.9178 65.95 81.75 81.73
Space group P-1 (No. 2)
Unique sites:
Tb  0.0000  0.0000  0.0000
Tb  0.1038  0.4412  0.7572
Tb  0.1971  0.1988  0.2023
Tb  0.2937  0.6277  0.9757
Tb  0.3075  0.9579  0.6390
Tb  0.3983  0.3991  0.4022
Tb  0.4935  0.1685  0.8352
Er  0.0968  0.7759  0.4254

(8)
Simulated powder diffraction line list of Tb7Er3 for Cu Kα (λ = 1.5418 Å), from a DFT-relaxed cell (GGA-PBE, Alexandria).

Peak list (10 most intense, 2θ from 5° to 70°, in order of rising 2θ)
| 2θ (°) | I/Imax |
| --- | --- |
| 31.0 | 100.0 |
| 35.9 | 33.8 |
| 36.0 | 16.7 |
| 51.5 | 6.1 |
| 51.7 | 29.9 |
| 61.4 | 14.3 |
| 61.5 | 14.2 |
| 61.6 | 14.2 |
| 64.5 | 6.2 |
| 64.6 | 6.1 |

Structure:
Lattice parameters (Å, degrees): 18.0260 4.9892 7.0939 90.00 101.31 90.00
Space group C2/m (No. 12)
Unique sites:
Tb  0.0000  0.0000  0.0000
Tb  0.0999  0.5000  0.2998
Tb  0.1002  0.5000  0.8005
Tb  0.2001  0.0000  0.6003
Er  0.0000  0.0000  0.5000
Er  0.2004  0.0000  0.1003

(9)
Simulated powder diffraction line list of TbEr6 for Cu Kα (λ = 1.5418 Å), from a DFT-relaxed cell (GGA-PBE, Alexandria).

Peak list (10 most intense, 2θ from 5° to 70°, in order of rising 2θ)
| 2θ (°) | I/Imax |
| --- | --- |
| 29.0 | 100.0 |
| 31.6 | 78.7 |
| 32.2 | 61.4 |
| 33.0 | 30.7 |
| 35.3 | 80.8 |
| 37.4 | 26.8 |
| 39.6 | 27.7 |
| 52.8 | 22.6 |
| 56.5 | 52.7 |
| 66.9 | 27.6 |

Structure:
Lattice parameters (Å, degrees): 6.4335 6.4335 10.8482 90.00 90.00 90.00
Space group P4/nbm (No. 125, origin choice 2)
Unique sites:
Tb  0.2500  0.7500  0.0000
Er  0.0816  0.5816  0.3624
Er  0.2500  0.2500  0.1410

(10)
Simulated powder diffraction line list of TbEr3 for Cu Kα (λ = 1.5418 Å), from a DFT-relaxed cell (GGA-PBE, Alexandria).

Peak list (5 most intense, 2θ from 5° to 70°, in order of rising 2θ)
| 2θ (°) | I/Imax |
| --- | --- |
| 31.2 | 100.0 |
| 36.2 | 50.6 |
| 52.1 | 35.9 |
| 62.0 | 42.6 |
| 65.1 | 12.3 |

Structure:
Lattice parameters (Å, degrees): 4.9628 4.9628 9.9361 90.00 90.00 90.00
Space group I4/mmm (No. 139)
Unique sites:
Tb  0.0000  0.0000  0.0000
Er  0.0000  0.0000  0.5000
Er  0.0000  0.5000  0.2500

(11)
Simulated powder diffraction line list of Tb5Er3 for Cu Kα (λ = 1.5418 Å), from a DFT-relaxed cell (GGA-PBE, Alexandria).

Peak list (10 most intense, 2θ from 5° to 70°, in order of rising 2θ)
| 2θ (°) | I/Imax |
| --- | --- |
| 28.5 | 23.9 |
| 31.9 | 23.9 |
| 32.8 | 100.0 |
| 43.3 | 15.5 |
| 50.5 | 19.8 |
| 57.4 | 20.4 |
| 59.1 | 3.1 |
| 61.0 | 22.5 |
| 61.6 | 16.5 |
| 68.7 | 3.9 |

Structure:
Lattice parameters (Å, degrees): 3.6129 5.6108 12.5099 90.00 90.00 90.00
Space group Pmm2 (No. 25)
Unique sites:
Tb  0.0000  0.0000  0.0000
Tb  0.0000  0.0000  0.4962
Tb  0.0000  0.5000  0.8317
Tb  0.5000  0.0000  0.7486
Tb  0.5000  0.5000  0.5790
Er  0.0000  0.5000  0.3295
Er  0.5000  0.0000  0.2473
Er  0.5000  0.5000  0.0825

(12)
Simulated powder diffraction line list of Tb4Er5 for Cu Kα (λ = 1.5418 Å), from a DFT-relaxed cell (GGA-PBE, Alexandria).

Peak list (10 most intense, 2θ from 5° to 70°, in order of rising 2θ)
| 2θ (°) | I/Imax |
| --- | --- |
| 31.2 | 9.4 |
| 31.8 | 98.5 |
| 32.2 | 100.0 |
| 41.6 | 9.0 |
| 45.9 | 33.7 |
| 52.7 | 9.1 |
| 57.1 | 33.1 |
| 57.4 | 16.4 |
| 63.1 | 30.4 |
| 67.4 | 9.3 |

Structure:
Lattice parameters (Å, degrees): 9.6281 9.6281 6.9508 90.00 90.00 120.00
Space group P6_3/mcm (No. 193)
Unique sites:
Tb  0.0000  0.0000  0.0000
Tb  0.0000  0.3569  0.2500
Er  0.0000  0.3108  0.7500
Er  0.3333  0.6667  0.0000